Entry 1:
# Na2GeCl4
Computed X-ray diffraction stick pattern, Cu Kα (weighted mean of Kα1 and Kα2). Input: a GGA-PBE-relaxed structure.
No peak broadening, texture or thermal motion is included.

Most intense lines, 10° ≤ 2θ ≤ 90°, low angle first:
hkl 1 0 1, d = 6.679 Å, I = 76; hkl 2 1 1, d = 3.478 Å, I = 59; hkl 0 0 4, d = 2.915 Å, I = 51; hkl 2 2 0, d = 2.880 Å, I = 100; hkl 2 2 4, d = 2.049 Å, I = 98; hkl 4 0 0, d = 2.037 Å, I = 49

Crystal structure
Cell lengths 8.1469, 8.1469, 11.6616 Å; angles 90.00, 90.00, 90.00 degrees
Space group P4_122 (No. 91)
One atom of each set of equivalent atoms:
1 Na 0.0000 0.2546 0.0000 (multiplicity 4)
2 Na 0.2509 0.2509 0.3750 (multiplicity 4)
3 Ge 0.2403 0.5000 0.7500 (multiplicity 4)
4 Cl 0.0274 0.2654 0.7544 (multiplicity 8)
5 Cl 0.2503 0.4893 0.9815 (multiplicity 8)

Entry 2:
# Tl2AgPSe4
Computed X-ray diffraction stick pattern, Cu Kα (weighted mean of Kα1 and Kα2). Input: a GGA-PBE-relaxed structure.
No peak broadening, texture or thermal motion is included.

Most intense lines, 10° ≤ 2θ ≤ 90°, low angle first:
hkl 2 0 0, d = 3.850 Å, I = 33; hkl 1 1 2, d = 3.218 Å, I = 100; hkl 1 2 1, d = 3.162 Å, I = 61; hkl 2 2 0, d = 2.723 Å, I = 36; hkl 3 1 2, d = 2.078 Å, I = 62; hkl 2 0 4, d = 1.771 Å, I = 25

Crystal structure
Cell lengths 7.7008, 7.7008, 7.9765 Å; angles 90.00, 90.00, 90.00 degrees
Space group I-4 (No. 82)
One atom of each set of equivalent atoms:
1 Tl 0.0000 0.0000 0.0000 (multiplicity 2)
2 Tl 0.0000 0.5000 0.2500 (multiplicity 2)
3 Ag 0.0000 0.5000 0.7500 (multiplicity 2)
4 P 0.0000 0.0000 0.5000 (multiplicity 2)
5 Se 0.1437 0.2014 0.6508 (multiplicity 8)

Entry 3:
# Nd3CoBr
Computed X-ray diffraction stick pattern, Cu Kα (weighted mean of Kα1 and Kα2). Input: a GGA-PBE-relaxed structure.
No peak broadening, texture or thermal motion is included.

Most intense lines, 10° ≤ 2θ ≤ 90°, low angle first:
hkl 0 0 1, d = 8.203 Å, I = 68; hkl 0 3 1, d = 3.006 Å, I = 81; hkl 1 2 1, d = 2.804 Å, I = 100; hkl 1 0 2, d = 2.782 Å, I = 45; hkl 1 1 2, d = 2.674 Å, I = 97; hkl 0 3 2, d = 2.538 Å, I = 44

Crystal structure
Cell lengths 3.7871, 9.6938, 8.2033 Å; angles 90.00, 90.00, 90.00 degrees
Space group Pmmn (No. 59, origin choice 2)
One atom of each set of equivalent atoms:
1 Nd 0.2500 0.0766 0.1638 (multiplicity 4)
2 Nd 0.2500 0.2500 0.7608 (multiplicity 2)
3 Co 0.2500 0.7500 0.0091 (multiplicity 2)
4 Br 0.2500 0.7500 0.5601 (multiplicity 2)

Entry 4:
# B2C3
Computed X-ray diffraction stick pattern, Cu Kα (weighted mean of Kα1 and Kα2). Input: a GGA-PBE-relaxed structure.
No peak broadening, texture or thermal motion is included.

Most intense lines, 10° ≤ 2θ ≤ 90°, low angle first:
hkl 0 0 15, d = 2.247 Å, I = 30; hkl 0 1 5, d = 2.119 Å, I = 100; hkl 0 1 20, d = 1.345 Å, I = 23; hkl 1 1 0, d = 1.289 Å, I = 26; hkl 1 1 15, d = 1.118 Å, I = 12; hkl 2 0 5, d = 1.101 Å, I = 9

Crystal structure
Cell lengths 2.5779, 2.5779, 33.7118 Å; angles 90.00, 90.00, 120.00 degrees
Space group R3m (No. 160, hexagonal axes)
One atom of each set of equivalent atoms:
1 B 0.0000 0.0000 0.0000 (multiplicity 3)
2 B 0.0000 0.0000 0.1559 (multiplicity 3)
3 B 0.0000 0.0000 0.3633 (multiplicity 3)
4 B 0.0000 0.0000 0.6016 (multiplicity 3)
5 C 0.0000 0.0000 0.2061 (multiplicity 3)
6 C 0.0000 0.0000 0.4103 (multiplicity 3)
7 C 0.0000 0.0000 0.5518 (multiplicity 3)
8 C 0.0000 0.0000 0.7594 (multiplicity 3)
9 C 0.0000 0.0000 0.8045 (multiplicity 3)
10 C 0.0000 0.0000 0.9540 (multiplicity 3)

Entry 5:
# Ta3Ti3B4
Computed X-ray diffraction stick pattern, Cu Kα (weighted mean of Kα1 and Kα2). Input: a GGA-PBE-relaxed structure.
No peak broadening, texture or thermal motion is included.

Most intense lines, 10° ≤ 2θ ≤ 90°, low angle first:
hkl 1 0 0, d = 3.249 Å, I = 61; hkl 0 1 3, d = 2.750 Å, I = 48; hkl 0 3 1, d = 2.728 Å, I = 74; hkl 1 2 2, d = 2.228 Å, I = 100; hkl 1 1 3, d = 2.099 Å, I = 55; hkl 1 3 1, d = 2.089 Å, I = 80

Crystal structure
Cell lengths 3.2492, 8.6174, 8.7035 Å; angles 90.00, 90.00, 90.00 degrees
Space group Amm2 (No. 38)
One atom of each set of equivalent atoms:
1 Ta 0.0000 0.0000 0.0000 (multiplicity 2)
2 Ta 0.0000 0.1802 0.6793 (multiplicity 4)
3 Ti 0.0000 0.0000 0.3574 (multiplicity 2)
4 Ti 0.5000 0.2478 0.4286 (multiplicity 4)
5 B 0.5000 0.0000 0.5737 (multiplicity 2)
6 B 0.5000 0.0000 0.7872 (multiplicity 2)
7 B 0.5000 0.1056 0.1787 (multiplicity 4)

Entry 6:
# Ag14Sn2Se9
Computed X-ray diffraction stick pattern, Cu Kα (weighted mean of Kα1 and Kα2). Input: a GGA-PBE-relaxed structure.
No peak broadening, texture or thermal motion is included.

Most intense lines, 10° ≤ 2θ ≤ 90°, low angle first:
hkl 0 0 3, d = 3.400 Å, I = 100; hkl 2 3 0, d = 2.659 Å, I = 66; hkl 3 2 1, d = 2.428 Å, I = 69; hkl 3 0 0, d = 2.292 Å, I = 77; hkl 2 1 4, d = 2.175 Å, I = 100; hkl 1 -3 1, d = 2.111 Å, I = 61

Crystal structure
Cell lengths 7.5400, 8.5545, 10.2213 Å; angles 87.27, 86.44, 65.90 degrees
Space group P-1 (No. 2)
One atom of each set of equivalent atoms:
1 Ag 0.0133 0.1167 0.0919 (multiplicity 2)
2 Ag 0.0272 0.3800 0.2538 (multiplicity 2)
3 Ag 0.0581 0.1601 0.5372 (multiplicity 2)
4 Ag 0.1762 0.3397 0.9368 (multiplicity 2)
5 Ag 0.2989 0.5183 0.1430 (multiplicity 2)
6 Ag 0.3186 0.5837 0.5814 (multiplicity 2)
7 Ag 0.3702 0.2776 0.4065 (multiplicity 2)
8 Sn 0.3905 0.8293 0.1874 (multiplicity 2)
9 Se 0.0000 0.5000 0.5000 (multiplicity 1)
10 Se 0.0034 0.8217 0.1905 (multiplicity 2)
11 Se 0.3078 0.5794 0.8473 (multiplicity 2)
12 Se 0.3232 0.8607 0.4548 (multiplicity 2)
13 Se 0.3711 0.1694 0.1563 (multiplicity 2)